Starting from a DFT-relaxed cell (PBE, Alexandria), the XRD peak list of HgH12C2Br4N6 was simulated for λ = 1.5418 Å (Cu Kα).

The 10 most intense peaks (10 to 90 degrees two-theta), low angle first:
d [Å]	2theta	I_rel
7.209	12.28	100
6.570	13.48	35
5.969	14.84	49
5.639	15.72	23
3.823	23.27	58
3.464	25.72	58
3.251	27.44	24
2.359	38.15	26
2.046	44.28	21
2.025	44.75	19

Structural model:
```
50
Lattice="5.224 -5.639 0.000 5.224 5.639 0.000 -3.981 0.000 13.140" Properties=species:S:1:pos:R:3 pbc="T T T"
Hg 2.238 3.185 9.855
Hg 4.229 -3.185 3.285
H 3.407 3.969 1.346
H 2.349 2.102 2.179
H 4.978 3.825 0.585
H 3.480 3.825 5.985
H 2.298 1.813 5.791
H 5.050 3.969 5.224
H 3.119 0.534 2.201
H 3.052 0.405 5.137
H 1.129 -0.534 8.771
H 6.160 1.813 0.779
H 0.359 -2.102 8.749
H 1.061 -0.405 11.707
H 5.406 0.405 1.433
H 6.108 2.102 4.391
H 0.307 -1.813 12.361
H 5.338 0.534 4.369
H 3.416 -0.405 8.003
H 3.348 -0.534 10.939
H 1.417 -3.969 7.916
H 4.170 -1.813 7.349
H 2.987 -3.825 7.155
H 1.490 -3.825 12.556
H 4.118 -2.102 10.961
H 3.060 -3.969 11.794
C 4.215 2.081 1.357
C 4.242 2.081 5.213
C 2.225 -2.081 7.927
C 2.252 -2.081 11.783
Br -0.418 1.266 5.564
Br 0.170 1.448 10.270
Br -2.409 -1.266 12.134
Br 2.160 -1.448 3.700
Br 4.307 1.448 9.440
Br 8.876 1.266 1.006
Br 6.297 -1.448 2.870
Br 6.886 -1.266 7.576
N 4.193 3.385 1.070
N 3.139 1.511 1.915
N 4.264 3.385 5.500
N 3.162 1.348 5.517
N 5.296 1.348 1.053
N 1.148 -1.511 8.485
N 5.319 1.511 4.655
N 1.171 -1.348 12.087
N 3.306 -1.348 7.623
N 2.203 -3.385 7.640
N 3.329 -1.511 11.225
N 2.274 -3.385 12.070
```